Record 1
The following is a simulated X-ray diffraction stick pattern of Ba2Ga2Si. It was derived from a PBE-relaxed structure, using CuKα.
Peak positions follow from Bragg's law for the DFT cell and can differ from measured ones.

Peak list (12 most intense, 10 to 90 degrees two-theta, sorted by position)
Position (°2θ)  I (rel.)  (hkl)
25.09  8  0 0 4
28.41  100  1 1 1
30.92  56  1 0 4
33.67  22  1 1 3
36.01  25  2 0 0
38.22  31  0 1 5
42.91  15  0 2 0
53.52  23  2 1 5
53.82  23  1 2 4
57.22  13  2 2 0
60.18  10  3 1 1
65.95  9  1 1 9

Structure:
abc: 4.988 4.216 14.196
angles: 90.00 90.00 90.00
Space group Amm2 (No. 38)
Asymmetric unit:
Ba  0.000  0.000  0.000 (multiplicity 2)
Ba  0.000  0.000  0.246 (multiplicity 2)
Ga  0.500  0.000  0.418 (multiplicity 2)
Ga  0.500  0.000  0.626 (multiplicity 2)
Si  0.500  0.000  0.821 (multiplicity 2)

Record 2
The following is a simulated X-ray diffraction stick pattern of YGa4Ag4. It was derived from a PBE-relaxed structure, using CuKα.
Peak positions follow from Bragg's law for the DFT cell and can differ from measured ones.

Peak list (12 most intense, 10 to 90 degrees two-theta, sorted by position)
Position (°2θ)  I (rel.)  (hkl)
17.25  21  1 0 1
24.15  20  1 0 2
33.72  100  2 1 1
41.11  43  2 2 0
41.48  95  2 0 3
42.07  32  1 0 4
44.89  12  3 0 1
51.75  14  2 1 4
59.54  21  4 0 0
68.13  22  3 2 4
75.16  23  4 2 3
84.71  14  5 2 1

Structure:
abc: 6.211 6.211 9.156
angles: 90.00 90.00 90.00
Space group P4_2/nmc (No. 137, origin choice 2)
Asymmetric unit:
Y  0.250  0.750  0.250 (multiplicity 2)
Ga  0.027  0.250  0.039 (multiplicity 8)
Ag  0.029  0.250  0.330 (multiplicity 8)

Record 3
The following is a simulated X-ray diffraction stick pattern of Ba3Sr4Tl4. It was derived from a PBE-relaxed structure, using CuKα.
Peak positions follow from Bragg's law for the DFT cell and can differ from measured ones.

Peak list (12 most intense, 10 to 90 degrees two-theta, sorted by position)
Position (°2θ)  I (rel.)  (hkl)
17.31  32  0 0 4
18.55  30  0 2 2
26.95  100  1 2 1
27.98  42  0 3 3
28.43  93  1 1 4
30.22  39  1 0 5
30.96  62  0 2 6
33.12  30  0 4 0
33.68  43  1 3 2
42.32  26  2 0 0
50.54  41  1 5 4
53.36  27  2 2 6

Structure:
abc: 4.271 10.818 20.493
angles: 90.00 90.00 90.00
Space group Immm (No. 71)
Asymmetric unit:
Ba  0.000  0.000  0.000 (multiplicity 2)
Ba  0.000  0.500  0.097 (multiplicity 4)
Sr  0.000  0.312  0.331 (multiplicity 8)
Tl  0.000  0.000  0.259 (multiplicity 4)
Tl  0.000  0.223  0.500 (multiplicity 4)